# Li3V2Fe2O8
Calculated powder X-ray diffraction pattern, Cu Ka. Input: a DFT-relaxed cell (GGA+U, Alexandria).
Intensities are scaled so that the largest is 100.

Largest 10 diffraction maxima, in order of rising 2θ, 5° ≤ 2θ ≤ 70°:
index	d/Å	2theta	I/Imax
0 0 1	4.865	18.2	100
1 0 0	4.809	18.4	74
0 2 -1	2.557	35.1	11
1 -2 2	2.512	35.7	24
0 0 2	2.432	37.0	12
0 2 0	2.126	42.5	43
2 0 -2	2.091	43.3	41
2 -2 2	2.067	43.8	39
-2 2 2	1.492	62.2	11
2 0 2	1.483	62.6	21

Cell and atoms:
```
Li3V2Fe2O8
1.0
5.8320 0.0000 0.0000
-2.8821 5.1771 0.0000
-0.0671 -3.3835 4.8708
Li V Fe O
3 2 2 8
direct
0.0000 0.0000 0.0000
0.0000 0.0000 0.5000
0.5000 0.5000 0.0000
0.0000 0.5000 0.5000
0.5000 0.0000 0.0000
0.5000 0.0000 0.5000
0.5000 0.5000 0.5000
0.2454 0.5046 0.7213
0.2480 0.9795 0.7407
0.2640 0.5205 0.2820
0.2851 0.0405 0.2640
0.7149 0.9595 0.7360
0.7360 0.4795 0.7180
0.7520 0.0205 0.2593
0.7546 0.4954 0.2787
```